# 1
The following is a computed X-ray diffraction stick pattern of NbHg2F6. It was derived from a PBE-relaxed structure, using Cu Kα.

Crystal structure
```
18
Lattice="0.0000 4.5309 8.2864 4.5296 0.0000 8.2864 4.5296 4.5309 0.0000" Properties=species:S:1:pos:R:3 pbc="T T T"
Nb 1.1324 1.1327 2.0716
Nb 7.9269 7.9290 14.5011
Hg 4.5296 2.2654 4.1432
Hg 2.2648 4.5309 4.1432
Hg 2.2648 2.2654 8.2864
Hg 4.5296 4.5309 8.2864
F 1.1324 1.1327 0.1415
F 3.3972 0.8142 6.2148
F 5.9799 3.3981 6.2148
F 1.1324 1.1327 4.0017
F 5.6621 3.0796 10.3580
F 8.2448 5.6636 10.3580
F 0.8145 3.3981 6.2148
F 3.3972 5.9821 6.2148
F 7.9269 7.9290 12.5711
F 3.0794 5.6636 10.3580
F 5.6621 8.2475 10.3580
F 7.9269 7.9290 16.4312
```

Main lines, by intensity (2θ from 5° to 70°):
2θ 21.24, I 100
2θ 29.90, I 100
2θ 31.69, I 83
2θ 45.65, I 54
2θ 30.36, I 39
2θ 43.25, I 37
2θ 14.82, I 27
2θ 21.45, I 23
2θ 49.97, I 22
2θ 66.20, I 21

# 2
The following is a computed X-ray diffraction stick pattern of Dy2CuTe2S2O14. It was derived from a PBE-relaxed structure, using Cu Kα.

Crystal structure
```
21
Lattice="5.2147 0.0000 0.0000 0.6436 7.9181 0.0000 2.1867 3.7333 6.9925" Properties=species:S:1:pos:R:3 pbc="T T T"
Dy 0.5425 2.0612 0.1406
Dy 7.5024 9.5901 6.8520
Cu 1.0933 1.8666 3.4963
Te 4.4640 8.2123 4.5632
Te 3.5810 3.4390 2.4293
S 2.3958 6.8254 1.7467
S 5.6491 4.8260 5.2458
O 1.7079 5.5002 1.6641
O 2.2423 7.4664 3.0578
O 1.7034 7.6347 0.6715
O 3.6067 7.7523 6.2081
O 3.3612 9.8235 4.5890
O 2.0771 2.4280 1.7912
O 4.2041 5.0012 5.5401
O 3.8408 6.6502 1.4524
O 5.9679 9.2234 5.2014
O 4.6837 1.8278 2.4035
O 4.4383 3.8991 0.7845
O 6.3416 4.0167 6.3210
O 5.8027 4.1849 3.9347
O 6.3370 6.1511 5.3284
```

Main lines, by intensity (2θ from 5° to 70°):
2θ 25.50, I 100
2θ 29.94, I 73
2θ 24.69, I 70
2θ 24.36, I 67
2θ 13.03, I 63
2θ 27.04, I 46
2θ 34.76, I 40
2θ 27.47, I 40
2θ 38.59, I 38
2θ 18.90, I 34

# 3
The following is a computed X-ray diffraction stick pattern of Li5Ac2Hg5. It was derived from a PBE-relaxed structure, using Cu Kα.

Crystal structure
```
12
Lattice="4.7409 0.0000 0.0000 0.0000 5.7592 0.0000 0.0000 0.0000 10.4683" Properties=species:S:1:pos:R:3 pbc="T T T"
Li 0.0000 0.0000 0.0000
Li 0.0000 1.4452 2.6872
Li 0.0000 1.4452 7.7812
Li 0.0000 4.3140 2.6872
Li 0.0000 4.3140 7.7812
Ac 2.3704 0.0000 5.2342
Ac 2.3704 2.8796 0.0000
Hg 0.0000 2.8796 5.2342
Hg 2.3704 0.0000 1.7432
Hg 2.3704 0.0000 8.7251
Hg 2.3704 2.8796 3.3256
Hg 2.3704 2.8796 7.1427
```

Main lines, by intensity (2θ from 5° to 70°):
2θ 35.55, I 100
2θ 18.72, I 59
2θ 29.94, I 39
2θ 31.06, I 35
2θ 36.51, I 25
2θ 58.20, I 24
2θ 37.96, I 22
2θ 49.08, I 21
2θ 49.83, I 19
2θ 67.01, I 16

# 4
The following is a computed X-ray diffraction stick pattern of HPd2Se. It was derived from a PBE-relaxed structure, using Cu Kα.

Crystal structure
```
4
Lattice="3.1065 0.0000 0.0000 1.2442 2.8655 0.0000 1.3182 0.8681 6.0081" Properties=species:S:1:pos:R:3 pbc="T T T"
H 0.0000 0.0000 0.0000
Pd 1.5845 0.3985 1.1022
Pd 4.6433 2.4264 4.9017
Se 3.1338 1.3823 3.0044
```

Main lines, by intensity (2θ from 5° to 70°):
2θ 40.48, I 100
2θ 36.93, I 98
2θ 37.09, I 95
2θ 40.64, I 55
2θ 45.28, I 55
2θ 34.95, I 47
2θ 53.64, I 36
2θ 35.64, I 25
2θ 53.04, I 24
2θ 33.11, I 22

# 5
The following is a computed X-ray diffraction stick pattern of ZnCuI2N. It was derived from a PBE-relaxed structure, using Cu Kα.

Crystal structure
```
5
Lattice="5.6045 0.0000 0.0000 0.0000 5.6045 0.0000 0.0000 0.0000 3.7352" Properties=species:S:1:pos:R:3 pbc="T T T"
Zn 0.0000 0.0000 0.0000
Cu 2.8022 2.8022 1.8676
I 0.0000 2.8022 1.8676
I 2.8022 0.0000 1.8676
N 2.8022 2.8022 0.0000
```

Main lines, by intensity (2θ from 5° to 70°):
2θ 31.94, I 100
2θ 32.95, I 79
2θ 45.79, I 36
2θ 40.23, I 35
2θ 23.82, I 35
2θ 59.48, I 32
2θ 57.56, I 31
2θ 28.72, I 26
2θ 69.12, I 20
2θ 43.48, I 17

# 6
The following is a computed X-ray diffraction stick pattern of Cu3IF4. It was derived from a PBE-relaxed structure, using Cu Kα.

Crystal structure
```
16
Lattice="6.2726 -2.7994 0.0000 6.2726 2.7994 0.0000 -2.1705 0.0000 6.9495" Properties=species:S:1:pos:R:3 pbc="T T T"
Cu 6.2726 -2.7990 0.0000
Cu 5.1873 2.7990 3.4747
Cu 2.3505 0.0214 4.2027
Cu 3.4358 -0.0214 0.7280
Cu 6.9404 0.0209 6.2061
Cu 8.0257 -0.0209 2.7313
I 5.7285 0.8983 1.7354
I 4.6433 -0.8983 5.2101
F 3.4185 1.9984 3.6955
F 1.7611 0.8321 5.9215
F 5.8688 1.9980 6.7205
F 2.8463 -0.8321 2.4468
F 7.5292 0.8332 4.4894
F 4.5037 -1.9984 0.2207
F 8.6145 -0.8332 1.0147
F 6.9541 -1.9980 3.2457
```

Main lines, by intensity (2θ from 5° to 70°):
2θ 29.26, I 100
2θ 29.85, I 48
2θ 46.73, I 33
2θ 36.14, I 33
2θ 20.33, I 32
2θ 22.98, I 32
2θ 33.14, I 31
2θ 42.44, I 29
2θ 25.52, I 25
2θ 54.26, I 25

# 7
The following is a computed X-ray diffraction stick pattern of Ac2SmY5. It was derived from a PBE-relaxed structure, using Cu Kα.

Crystal structure
```
16
Lattice="7.3269 0.0000 0.0000 0.0000 14.6597 0.0000 0.0000 0.0000 5.2524" Properties=species:S:1:pos:R:3 pbc="T T T"
Ac 1.8012 1.8406 0.0000
Ac 1.8623 9.1705 0.0000
Ac 5.4647 5.4893 0.0000
Ac 5.5257 12.8192 0.0000
Sm 0.0000 7.3299 2.6262
Sm 3.6635 0.0000 2.6262
Y 0.0000 0.0000 2.6262
Y 0.0402 10.9966 2.6262
Y 1.7918 5.5096 0.0000
Y 1.8717 12.8395 0.0000
Y 3.6233 3.6667 2.6262
Y 3.6635 7.3299 2.6262
Y 3.7037 10.9930 2.6262
Y 5.4552 1.8202 0.0000
Y 5.5352 9.1501 0.0000
Y 7.2867 3.6631 2.6262
```

Main lines, by intensity (2θ from 5° to 70°):
2θ 29.73, I 100
2θ 34.62, I 33
2θ 59.05, I 28
2θ 49.41, I 24
2θ 34.14, I 17
2θ 58.42, I 15
2θ 61.74, I 12
2θ 49.77, I 12
2θ 17.11, I 11
2θ 24.13, I 10

# 8
The following is a computed X-ray diffraction stick pattern of La3Zn2Cd9. It was derived from a PBE-relaxed structure, using Cu Kα.

Crystal structure
```
14
Lattice="-2.5175 4.8540 7.0579 2.5175 -4.8540 7.0579 2.5175 4.8540 -7.0579" Properties=species:S:1:pos:R:3 pbc="T T T"
La 0.0000 0.0000 0.0000
La 0.0000 0.0000 4.1400
La 0.0000 0.0000 9.9758
Zn 2.5175 3.3340 0.0000
Zn 0.0000 1.5200 7.0579
Cd 2.5175 1.3972 -2.0212
Cd 2.5175 -2.0713 5.0055
Cd 2.5175 1.3972 2.0212
Cd 0.0000 2.7827 2.0524
Cd 0.0000 4.8540 0.0000
Cd 2.5175 2.0713 5.0055
Cd 0.0000 3.4567 5.0367
Cd 0.0000 6.9253 2.0524
Cd 0.0000 3.4567 9.0791
```

Main lines, by intensity (2θ from 5° to 70°):
2θ 31.90, I 100
2θ 35.66, I 75
2θ 32.90, I 56
2θ 32.32, I 51
2θ 31.34, I 51
2θ 41.81, I 37
2θ 62.68, I 37
2θ 35.34, I 33
2θ 48.20, I 30
2θ 41.91, I 29